Structure and theoretical powder X-ray diffraction pattern of TbGdNO (a DFT-relaxed cell (GGA-PBE, OQMD); a wavelength of 1.5418 Å).

Atomic structure:
```
TbGdNO
1.0
6.6614 0.0000 0.0000
0.0000 8.1233 0.0000
0.0000 0.0000 4.9824
Tb Gd N O
4 4 4 4
Direct
0.0706 0.1218 0.0000 Tb
0.4294 0.1218 0.5000 Tb
0.5706 0.8782 0.0000 Tb
0.9294 0.8782 0.5000 Tb
0.0821 0.6274 0.9983 Gd
0.4179 0.6274 0.4983 Gd
0.5821 0.3726 0.9983 Gd
0.9179 0.3726 0.4983 Gd
0.0693 0.6267 0.4983 N
0.4307 0.6267 0.9983 N
0.5693 0.3733 0.4983 N
0.9307 0.3733 0.9983 N
0.0940 0.1292 0.5007 O
0.4060 0.1292 0.0007 O
0.5940 0.8708 0.5007 O
0.9060 0.8708 0.0007 O
```

Largest 8 diffraction maxima, by angle, 2θ from 15° to 90°:
d/Å  2theta  intensity
3.468  25.69  34
3.331  26.77  23
2.846  31.43  100
2.769  32.33  39
2.491  36.05  33
2.031  44.62  18
1.948  46.62  30
1.535  60.31  27

Structure and theoretical powder X-ray diffraction pattern of ZnCd2Pt (a DFT-relaxed cell (GGA-PBE, OQMD); a wavelength of 1.5418 Å).

Atomic structure:
```
ZnCd2Pt
1.0
6.5361 0.0000 0.0000
0.0000 6.5361 0.0000
0.0000 0.0000 6.5361
Zn Cd Pt
4 8 4
Direct
0.0000 0.0000 0.0000 Zn
0.0000 0.5000 0.5000 Zn
0.5000 0.0000 0.5000 Zn
0.5000 0.5000 0.0000 Zn
0.0000 0.0000 0.5000 Cd
0.0000 0.5000 0.0000 Cd
0.2500 0.2500 0.2500 Cd
0.2500 0.7500 0.7500 Cd
0.5000 0.0000 0.0000 Cd
0.5000 0.5000 0.5000 Cd
0.7500 0.2500 0.7500 Cd
0.7500 0.7500 0.2500 Cd
0.2500 0.2500 0.7500 Pt
0.2500 0.7500 0.2500 Pt
0.7500 0.2500 0.2500 Pt
0.7500 0.7500 0.7500 Pt
```

Largest 8 diffraction maxima, by angle, 2θ from 15° to 90°:
d/Å  2theta  intensity
3.774  23.58  8
3.268  27.29  7
2.311  38.98  100
1.971  46.06  4
1.634  56.30  17
1.462  63.67  3
1.334  70.60  33
1.155  83.71  11

Structure and theoretical powder X-ray diffraction pattern of GdDy2Ag4Sn4 (a DFT-relaxed cell (GGA-PBE, OQMD); a wavelength of 1.5418 Å).

Atomic structure:
```
GdDy2Ag4Sn4
1.0
-2.2806 3.6801 7.6410
2.2806 -3.6801 7.6410
2.2806 3.6801 -7.6410
Gd Dy Ag Sn
1 2 4 4
Direct
0.0000 0.0000 0.0000 Gd
0.3727 0.8727 0.5000 Dy
0.6273 0.1273 0.5000 Dy
0.0271 0.3288 0.6984 Ag
0.3696 0.6712 0.6984 Ag
0.6304 0.3288 0.3016 Ag
0.9729 0.6712 0.3016 Ag
0.2151 0.2151 0.0000 Sn
0.3042 0.5000 0.8042 Sn
0.6958 0.5000 0.1958 Sn
0.7849 0.7849 0.0000 Sn
```

Largest 8 diffraction maxima, by angle, 2θ from 15° to 90°:
d/Å  2theta  intensity
2.817  31.77  100
2.721  32.91  67
2.547  35.24  16
2.497  35.97  14
2.281  39.51  35
2.210  40.82  21
2.091  43.27  26
1.587  58.12  15

Structure and theoretical powder X-ray diffraction pattern of Zr3P3Pd4 (a DFT-relaxed cell (GGA-PBE, OQMD); a wavelength of 1.5418 Å).

Atomic structure:
```
Zr3P3Pd4
1.0
16.5253 0.0000 0.0000
0.0000 3.8545 0.0000
0.0000 0.0000 10.0735
Zr P Pd
12 12 16
Direct
0.0482 0.2500 0.1166 Zr
0.0606 0.7500 0.5890 Zr
0.2395 0.2500 0.9769 Zr
0.2605 0.7500 0.4769 Zr
0.4394 0.2500 0.0890 Zr
0.4518 0.7500 0.6166 Zr
0.5482 0.2500 0.3834 Zr
0.5606 0.7500 0.9110 Zr
0.7395 0.2500 0.5231 Zr
0.7605 0.7500 0.0231 Zr
0.9394 0.2500 0.4110 Zr
0.9518 0.7500 0.8834 Zr
0.0451 0.7500 0.3192 P
0.1143 0.7500 0.9629 P
0.1774 0.2500 0.6112 P
0.3226 0.7500 0.1112 P
0.3857 0.2500 0.4629 P
0.4549 0.2500 0.8192 P
0.5451 0.7500 0.1808 P
0.6143 0.7500 0.5371 P
0.6774 0.2500 0.8888 P
0.8226 0.7500 0.3888 P
0.8857 0.2500 0.0371 P
0.9549 0.2500 0.6808 P
0.0813 0.2500 0.8173 Pd
0.1283 0.2500 0.3829 Pd
0.1762 0.7500 0.1889 Pd
0.2063 0.7500 0.7645 Pd
0.2937 0.2500 0.2645 Pd
0.3238 0.2500 0.6889 Pd
0.3717 0.7500 0.8829 Pd
0.4187 0.7500 0.3173 Pd
0.5813 0.2500 0.6827 Pd
0.6283 0.2500 0.1171 Pd
0.6762 0.7500 0.3111 Pd
0.7063 0.7500 0.7355 Pd
0.7937 0.2500 0.2355 Pd
0.8238 0.2500 0.8111 Pd
0.8717 0.7500 0.6171 Pd
0.9187 0.7500 0.1827 Pd
```

Largest 8 diffraction maxima, by angle, 2θ from 15° to 90°:
d/Å  2theta  intensity
2.503  35.88  20
2.459  36.53  56
2.435  36.92  100
2.420  37.15  53
2.409  37.33  24
2.300  39.16  47
2.138  42.28  25
1.927  47.16  54

Structure and theoretical powder X-ray diffraction pattern of DyY2As3 (a DFT-relaxed cell (GGA-PBE, OQMD); a wavelength of 1.5418 Å).

Atomic structure:
```
DyY2As3
1.0
4.1174 0.0000 0.0000
-2.0587 3.5658 0.0000
0.0000 0.0000 10.0975
Dy Y As
1 2 3
Direct
0.0000 0.0000 0.0000 Dy
0.3333 0.6667 0.3334 Y
0.6667 0.3333 0.6666 Y
0.0000 0.0000 0.5000 As
0.3333 0.6667 0.8336 As
0.6667 0.3333 0.1664 As
```

Largest 8 diffraction maxima, by angle, 2θ from 15° to 90°:
d/Å  2theta  intensity
3.363  26.50  9
2.913  30.70  100
2.060  43.96  73
1.682  54.57  26
1.456  63.93  12
1.303  72.58  32
1.189  80.82  18
1.189  80.87  6

Structure and theoretical powder X-ray diffraction pattern of Ac2Hf5Ga (a DFT-relaxed cell (GGA-PBE, OQMD); a wavelength of 1.5418 Å).

Atomic structure:
```
Ac2Hf5Ga
1.0
6.7579 0.0000 0.0000
0.0000 6.7579 0.0000
0.0000 0.0000 5.0755
Ac Hf Ga
2 5 1
Direct
0.0000 0.5000 0.0000 Ac
0.5000 0.0000 0.0000 Ac
0.0000 0.0000 0.0000 Hf
0.2773 0.2773 0.5000 Hf
0.2773 0.7227 0.5000 Hf
0.7227 0.2773 0.5000 Hf
0.7227 0.7227 0.5000 Hf
0.0000 0.0000 0.5000 Ga
```

Largest 8 diffraction maxima, by angle, 2θ from 15° to 90°:
d/Å  2theta  intensity
3.479  25.60  15
2.813  31.82  100
2.538  35.37  25
2.389  37.65  38
1.740  52.61  29
1.513  61.28  16
1.448  64.32  21
1.406  66.48  13

Structure and theoretical powder X-ray diffraction pattern of ErLuScFeSi3 (a DFT-relaxed cell (GGA-PBE, OQMD); a wavelength of 1.5418 Å).

Atomic structure:
```
ErLuScFeSi3
1.0
5.0993 -2.0232 0.0000
5.0993 2.0232 0.0000
-4.6068 0.0000 12.2698
Er Lu Sc Fe Si
2 2 2 2 6
Direct
0.1018 0.1018 0.4170 Er
0.8982 0.8982 0.5830 Er
0.2504 0.2504 0.7341 Lu
0.7496 0.7496 0.2659 Lu
0.0268 0.0268 0.8827 Sc
0.9732 0.9732 0.1173 Sc
0.2496 0.2496 0.0832 Fe
0.7504 0.7504 0.9168 Fe
0.3637 0.3637 0.9595 Si
0.3866 0.3866 0.4229 Si
0.4463 0.4463 0.2520 Si
0.5537 0.5537 0.7480 Si
0.6134 0.6134 0.5771 Si
0.6363 0.6363 0.0405 Si
```

Largest 8 diffraction maxima, by angle, 2θ from 15° to 90°:
d/Å  2theta  intensity
3.709  23.99  33
3.254  27.41  29
2.964  30.15  51
2.596  34.56  51
2.582  34.74  100
2.547  35.24  64
2.122  42.61  34
2.023  44.80  32

Structure and theoretical powder X-ray diffraction pattern of CuAg (a DFT-relaxed cell (GGA-PBE, OQMD); a wavelength of 1.5418 Å).

Atomic structure:
```
CuAg
1.0
4.4102 -1.9406 0.0000
4.4102 1.9406 0.0000
-0.0828 0.0000 8.7373
Cu Ag
5 5
Direct
0.0000 0.0000 0.0000 Cu
0.0962 0.0962 0.7124 Cu
0.4042 0.4042 0.8041 Cu
0.5958 0.5958 0.1959 Cu
0.9038 0.9038 0.2876 Cu
0.1977 0.1977 0.3912 Ag
0.3076 0.3076 0.0977 Ag
0.5000 0.5000 0.5000 Ag
0.6924 0.6924 0.9023 Ag
0.8023 0.8023 0.6088 Ag
```

Largest 8 diffraction maxima, by angle, 2θ from 15° to 90°:
d/Å  2theta  intensity
2.258  39.93  100
1.976  45.93  16
1.950  46.57  15
1.941  46.81  16
1.385  67.67  9
1.188  80.91  11
1.177  81.85  10
1.173  82.21  11

Structure and theoretical powder X-ray diffraction pattern of Nb4FeBiC2 (a DFT-relaxed cell (GGA-PBE, OQMD); a wavelength of 1.5418 Å).

Atomic structure:
```
Nb4FeBiC2
1.0
3.2081 0.0000 0.0000
-1.6040 2.7783 0.0000
0.0000 0.0000 13.7535
Nb Fe Bi C
4 1 1 2
Direct
0.0000 0.0000 0.1414 Nb
0.0000 0.0000 0.8586 Nb
0.6667 0.3333 0.3182 Nb
0.6667 0.3333 0.6818 Nb
0.6667 0.3333 0.0000 Fe
0.0000 0.0000 0.5000 Bi
0.3333 0.6667 0.2313 C
0.3333 0.6667 0.7687 C
```

Largest 8 diffraction maxima, by angle, 2θ from 15° to 90°:
d/Å  2theta  intensity
2.778  32.22  29
2.576  34.83  20
2.376  37.87  100
2.292  39.31  14
1.604  57.45  23
1.462  63.65  13
1.329  70.88  16
1.314  71.83  14

Structure and theoretical powder X-ray diffraction pattern of Na2Nb2Ga2IrOs (a DFT-relaxed cell (GGA-PBE, OQMD); a wavelength of 1.5418 Å).

Atomic structure:
```
Na2Nb2Ga2IrOs
1.0
4.4885 0.0000 0.0000
0.0000 4.4885 0.0000
0.0000 0.0000 6.3441
Na Nb Ga Ir Os
2 2 2 1 1
Direct
0.0000 0.0000 0.0000 Na
0.5000 0.5000 0.5000 Na
0.0000 0.5000 0.2480 Nb
0.5000 0.0000 0.7520 Nb
0.0000 0.5000 0.7536 Ga
0.5000 0.0000 0.2464 Ga
0.0000 0.0000 0.5000 Ir
0.5000 0.5000 0.0000 Os
```

Largest 8 diffraction maxima, by angle, 2θ from 15° to 90°:
d/Å  2theta  intensity
3.664  24.29  46
2.244  40.19  100
1.914  47.52  24
1.587  58.14  17
1.456  63.94  10
1.295  73.04  33
1.221  78.28  8
1.122  86.81  11